Entry 1:
Diffraction record for GdIn2Cl5. The powder XRD pattern is simulated, not measured: it uses DFT lattice parameters and positions (GGA-PBE) and copper Kα.
Neutral-atom scattering factors, no anomalous dispersion.

Largest 10 diffraction maxima, in order of rising 2θ, 10° ≤ 2θ ≤ 90°:
d/Å  2θ (°)  I/Imax
4.091  21.7  47
3.832  23.2  100
3.640  24.5  84
3.574  24.9  54
2.883  31.0  50
2.853  31.4  42
2.692  33.3  65
2.589  34.6  36
2.145  42.1  50
2.139  42.3  33

```
data_GdIn2Cl5
_cell_length_a 13.012
_cell_length_b 8.556
_cell_length_c 8.182
_cell_angle_alpha 90.00
_cell_angle_beta 90.00
_cell_angle_gamma 90.00
_symmetry_space_group_name_H-M 'P n m a'
_symmetry_Int_Tables_number 62
loop_
_symmetry_equiv_pos_as_xyz
'x,y,z'
'-x,-y,-z'
'-x+1/2,-y,z+1/2'
'x+1/2,y,-z+1/2'
'x+1/2,-y+1/2,-z+1/2'
'-x+1/2,y+1/2,z+1/2'
'-x,y+1/2,-z'
'x,-y+1/2,z'
loop_
_atom_site_label
_atom_site_type_symbol
_atom_site_fract_x
_atom_site_fract_y
_atom_site_fract_z
Gd1 Gd 0.003 0.250 0.072
In1 In 0.172 0.005 0.550
Cl1 Cl 0.009 0.250 0.409
Cl2 Cl 0.074 0.543 0.160
Cl3 Cl 0.175 0.250 0.887
Cl4 Cl 0.197 0.750 0.843
```

Entry 2:
Diffraction record for ZrSbRu. The powder XRD pattern is simulated, not measured: it uses DFT lattice parameters and positions (GGA-PBE) and copper Kα.
Neutral-atom scattering factors, no anomalous dispersion.

Largest 10 diffraction maxima, in order of rising 2θ, 10° ≤ 2θ ≤ 90°:
d/Å  2θ (°)  I/Imax
3.669  24.3  29
3.177  28.1  16
2.247  40.1  100
1.916  47.5  14
1.834  49.7  4
1.589  58.1  17
1.458  63.9  6
1.421  65.7  5
1.297  72.9  33
1.123  86.7  11

```
data_ZrSbRu
_cell_length_a 6.354
_cell_length_b 6.354
_cell_length_c 6.354
_cell_angle_alpha 90.00
_cell_angle_beta 90.00
_cell_angle_gamma 90.00
_symmetry_space_group_name_H-M 'F -4 3 m'
_symmetry_Int_Tables_number 216
_symmetry_space_group_name_Hall 'F -4 2 3'
loop_
_atom_site_label
_atom_site_type_symbol
_atom_site_fract_x
_atom_site_fract_y
_atom_site_fract_z
Zr1 Zr 0.000 0.000 0.000
Sb1 Sb 0.000 0.000 0.500
Ru1 Ru 0.250 0.250 0.750
```

Number 2 is which compound? ZrSbRu